Starting from a cell relaxed with PBE, the powder diffraction line list of Na6Nb3AlSi6O24 was calculated for Cu Ka.
Lines closer than 0.1° are merged.

Principal peaks in the range 2θ = 10–90°, low angle first:
d [Å], I_rel, index
6.403, 26, 0 1 -1
4.535, 63, 1 1 -1
4.506, 100, 1 0 -2
3.862, 33, 1 0 1
3.202, 25, 0 2 -2
3.175, 17, -2 2 2
2.931, 17, 2 0 -3
2.869, 49, 1 1 1
2.854, 30, 1 -3 1
2.610, 26, 0 1 -3
2.599, 41, 3 -2 0
1.551, 17, 1 -5 3

Structural model:
Cell lengths 8.992, 9.006, 9.025 Å; angles 90.46, 119.85, 119.38 degrees
Space group P1 (No. 1)
One atom of each set of equivalent atoms:
Na  0.000  0.000  0.000 x1
Na  0.010  0.516  0.508 x1
Na  0.119  0.195  0.741 x1
Na  0.490  0.235  0.390 x1
Na  0.501  0.767  0.626 x1
Na  0.897  0.787  0.263 x1
Nb  0.285  0.434  0.140 x1
Nb  0.712  0.071  0.352 x1
Nb  0.716  0.566  0.858 x1
Al  0.288  0.931  0.646 x1
Si  0.212  0.245  0.462 x1
Si  0.212  0.760  0.254 x1
Si  0.484  0.748  0.947 x1
Si  0.498  0.243  0.029 x1
Si  0.776  0.230  0.752 x1
Si  0.797  0.748  0.540 x1
O  0.013  0.748  0.080 x1
O  0.019  0.239  0.448 x1
O  0.194  0.759  0.424 x1
O  0.203  0.262  0.276 x1
O  0.213  0.069  0.494 x1
O  0.220  0.587  0.207 x1
O  0.332  0.762  0.763 x1
O  0.336  0.257  0.060 x1
O  0.356  0.077  0.848 x1
O  0.356  0.565  0.989 x1
O  0.427  0.432  0.634 x1
O  0.427  0.941  0.297 x1
O  0.563  0.052  0.701 x1
O  0.575  0.568  0.365 x1
O  0.625  0.917  0.137 x1
O  0.639  0.435  0.006 x1
O  0.661  0.240  0.225 x1
O  0.664  0.745  0.940 x1
O  0.781  0.413  0.796 x1
O  0.787  0.924  0.501 x1
O  0.797  0.740  0.723 x1
O  0.802  0.241  0.581 x1
O  0.985  0.250  0.921 x1
O  0.990  0.765  0.554 x1